1.
This entry pairs a crystal structure of Tb4Pm5Hg4 with its simulated PXRD pattern. Radiation: Cu Kα (λ = 1.5418 Å). Structure: the GGA-PBE geometry in Alexandria.
No peak broadening, texture or thermal motion is included.

Top 6 peaks for 10° ≤ 2θ ≤ 90°, in order of falling intensity:
| 2theta | intensity |
| --- | --- |
| 31.50 | 100 |
| 34.46 | 29 |
| 34.84 | 21 |
| 59.90 | 16 |
| 37.53 | 14 |
| 32.78 | 12 |

Atomic structure:
Unit cell a=9.023 b=9.023 c=9.023 alpha=94.77 beta=94.77 gamma=146.47
Atoms (fractional coordinates):
Tb1 0.097 0.605 0.703
Tb2 0.395 0.097 0.492
Tb3 0.605 0.903 0.508
Tb4 0.903 0.395 0.297
Pm1 0.000 0.000 0.000
Pm2 0.315 0.381 0.696
Pm3 0.381 0.685 0.066
Pm4 0.619 0.315 0.934
Pm5 0.685 0.619 0.304
Hg1 0.095 0.240 0.335
Hg2 0.240 0.905 0.146
Hg3 0.760 0.095 0.854
Hg4 0.905 0.760 0.665

2.
This entry pairs a crystal structure of TbPm3Hg4 with its simulated PXRD pattern. Radiation: Cu Kα (λ = 1.5418 Å). Structure: the GGA-PBE geometry in Alexandria.
No peak broadening, texture or thermal motion is included.

Top 6 peaks for 10° ≤ 2θ ≤ 90°, in order of falling intensity:
| 2theta | intensity |
| --- | --- |
| 33.39 | 100 |
| 59.74 | 25 |
| 59.58 | 12 |
| 48.03 | 12 |
| 80.08 | 11 |
| 70.08 | 8 |

Atomic structure:
Unit cell a=3.789 b=3.789 c=15.227 alpha=90.00 beta=90.00 gamma=90.00
Atoms (fractional coordinates):
Tb1 0.000 0.000 0.000
Pm1 0.000 0.000 0.247
Pm2 0.000 0.000 0.500
Pm3 0.000 0.000 0.753
Hg1 0.500 0.500 0.118
Hg2 0.500 0.500 0.374
Hg3 0.500 0.500 0.626
Hg4 0.500 0.500 0.882

3.
This entry pairs a crystal structure of Tb6PmHg with its simulated PXRD pattern. Radiation: Cu Kα (λ = 1.5418 Å). Structure: the GGA-PBE geometry in Alexandria.
No peak broadening, texture or thermal motion is included.

Top 6 peaks for 10° ≤ 2θ ≤ 90°, in order of falling intensity:
| 2theta | intensity |
| --- | --- |
| 34.41 | 100 |
| 30.60 | 93 |
| 33.04 | 44 |
| 28.40 | 39 |
| 51.83 | 32 |
| 33.25 | 23 |

Atomic structure:
Unit cell a=6.335 b=6.335 c=6.335 alpha=94.90 beta=94.90 gamma=94.90
Atoms (fractional coordinates):
Tb1 0.041 0.760 0.560
Tb2 0.240 0.440 0.959
Tb3 0.440 0.959 0.240
Tb4 0.560 0.041 0.760
Tb5 0.760 0.560 0.041
Tb6 0.959 0.240 0.440
Pm1 0.500 0.500 0.500
Hg1 0.000 0.000 0.000

4.
This entry pairs a crystal structure of Tb3PmHg12 with its simulated PXRD pattern. Radiation: Cu Kα (λ = 1.5418 Å). Structure: the GGA-PBE geometry in Alexandria.
No peak broadening, texture or thermal motion is included.

Top 6 peaks for 10° ≤ 2θ ≤ 90°, in order of falling intensity:
| 2theta | intensity |
| --- | --- |
| 33.49 | 100 |
| 39.59 | 32 |
| 67.96 | 27 |
| 55.57 | 24 |
| 37.36 | 19 |
| 64.94 | 15 |

Atomic structure:
Unit cell a=4.553 b=4.553 c=19.255 alpha=90.00 beta=90.00 gamma=90.00
Atoms (fractional coordinates):
Tb1 0.000 0.000 0.000
Tb2 0.000 0.000 0.248
Tb3 0.000 0.000 0.752
Pm1 0.000 0.000 0.500
Hg1 0.000 0.500 0.124
Hg2 0.000 0.500 0.373
Hg3 0.000 0.500 0.627
Hg4 0.000 0.500 0.876
Hg5 0.500 0.000 0.124
Hg6 0.500 0.000 0.373
Hg7 0.500 0.000 0.627
Hg8 0.500 0.000 0.876
Hg9 0.500 0.500 0.000
Hg10 0.500 0.500 0.248
Hg11 0.500 0.500 0.500
Hg12 0.500 0.500 0.752

5.
This entry pairs a crystal structure of Tb7PmHg2 with its simulated PXRD pattern. Radiation: Cu Kα (λ = 1.5418 Å). Structure: the GGA-PBE geometry in Alexandria.
No peak broadening, texture or thermal motion is included.

Top 6 peaks for 10° ≤ 2θ ≤ 90°, in order of falling intensity:
| 2theta | intensity |
| --- | --- |
| 34.37 | 100 |
| 35.24 | 95 |
| 30.53 | 79 |
| 16.55 | 75 |
| 33.46 | 71 |
| 28.73 | 56 |

Atomic structure:
Unit cell a=8.893 b=8.893 c=5.357 alpha=90.00 beta=90.00 gamma=118.20
Atoms (fractional coordinates):
Tb1 0.000 0.000 0.000
Tb2 0.195 0.439 0.000
Tb3 0.262 0.738 0.500
Tb4 0.439 0.195 0.000
Tb5 0.561 0.805 0.000
Tb6 0.738 0.262 0.500
Tb7 0.805 0.561 0.000
Pm1 0.500 0.500 0.500
Hg1 0.194 0.806 0.000
Hg2 0.806 0.194 0.000

6.
This entry pairs a crystal structure of Tb2PmHg3 with its simulated PXRD pattern. Radiation: Cu Kα (λ = 1.5418 Å). Structure: the GGA-PBE geometry in Alexandria.
No peak broadening, texture or thermal motion is included.

Top 6 peaks for 10° ≤ 2θ ≤ 90°, in order of falling intensity:
| 2theta | intensity |
| --- | --- |
| 33.67 | 100 |
| 60.22 | 38 |
| 48.36 | 18 |
| 80.73 | 16 |
| 70.80 | 12 |
| 23.64 | 2 |

Atomic structure:
Unit cell a=3.764 b=3.764 c=11.290 alpha=90.00 beta=90.00 gamma=90.00
Atoms (fractional coordinates):
Tb1 0.000 0.000 0.164
Tb2 0.000 0.000 0.836
Pm1 0.000 0.000 0.500
Hg1 0.500 0.500 0.000
Hg2 0.500 0.500 0.325
Hg3 0.500 0.500 0.675

7.
This entry pairs a crystal structure of TbPm6Hg2 with its simulated PXRD pattern. Radiation: Cu Kα (λ = 1.5418 Å). Structure: the GGA-PBE geometry in Alexandria.
No peak broadening, texture or thermal motion is included.

Top 6 peaks for 10° ≤ 2θ ≤ 90°, in order of falling intensity:
| 2theta | intensity |
| --- | --- |
| 32.30 | 100 |
| 31.04 | 29 |
| 31.31 | 21 |
| 47.95 | 11 |
| 58.23 | 10 |
| 58.40 | 8 |

Atomic structure:
Unit cell a=6.717 b=6.717 c=12.149 alpha=108.01 beta=108.01 gamma=32.81
Atoms (fractional coordinates):
Tb1 0.000 0.000 0.000
Pm1 0.021 0.021 0.337
Pm2 0.310 0.310 0.411
Pm3 0.313 0.313 0.124
Pm4 0.687 0.687 0.876
Pm5 0.690 0.690 0.589
Pm6 0.979 0.979 0.663
Hg1 0.361 0.361 0.803
Hg2 0.639 0.639 0.197

8.
This entry pairs a crystal structure of TbPm3Hg7 with its simulated PXRD pattern. Radiation: Cu Kα (λ = 1.5418 Å). Structure: the GGA-PBE geometry in Alexandria.
No peak broadening, texture or thermal motion is included.

Top 6 peaks for 10° ≤ 2θ ≤ 90°, in order of falling intensity:
| 2theta | intensity |
| --- | --- |
| 31.81 | 100 |
| 35.28 | 84 |
| 35.60 | 56 |
| 34.91 | 44 |
| 61.98 | 33 |
| 41.14 | 32 |

Atomic structure:
Unit cell a=12.625 b=12.625 c=13.164 alpha=90.00 beta=90.00 gamma=163.13
Atoms (fractional coordinates):
Tb1 0.020 0.980 0.750
Tb2 0.980 0.020 0.250
Pm1 0.143 0.857 0.073
Pm2 0.143 0.857 0.427
Pm3 0.175 0.825 0.750
Pm4 0.825 0.175 0.250
Pm5 0.857 0.143 0.573
Pm6 0.857 0.143 0.927
Hg1 0.274 0.726 0.080
Hg2 0.274 0.726 0.420
Hg3 0.304 0.696 0.750
Hg4 0.405 0.595 0.112
Hg5 0.405 0.595 0.388
Hg6 0.462 0.538 0.595
Hg7 0.462 0.538 0.905
Hg8 0.538 0.462 0.095
Hg9 0.538 0.462 0.405
Hg10 0.595 0.405 0.612
Hg11 0.595 0.405 0.888
Hg12 0.696 0.304 0.250
Hg13 0.726 0.274 0.580
Hg14 0.726 0.274 0.920

9.
This entry pairs a crystal structure of Pm4HgTe2 with its simulated PXRD pattern. Radiation: Cu Kα (λ = 1.5418 Å). Structure: the GGA-PBE geometry in Alexandria.
No peak broadening, texture or thermal motion is included.

Top 6 peaks for 10° ≤ 2θ ≤ 90°, in order of falling intensity:
| 2theta | intensity |
| --- | --- |
| 34.29 | 100 |
| 29.05 | 96 |
| 25.72 | 49 |
| 36.69 | 49 |
| 43.42 | 47 |
| 28.84 | 40 |

Atomic structure:
Unit cell a=8.460 b=8.460 c=8.460 alpha=109.23 beta=109.23 gamma=109.95
Atoms (fractional coordinates):
Pm1 0.058 0.366 0.304
Pm2 0.062 0.754 0.696
Pm3 0.116 0.308 0.804
Pm4 0.246 0.942 0.308
Pm5 0.504 0.312 0.196
Pm6 0.634 0.938 0.692
Pm7 0.688 0.884 0.192
Pm8 0.692 0.496 0.808
Hg1 0.000 0.000 0.000
Hg2 0.750 0.250 0.500
Te1 0.373 0.625 0.248
Te2 0.375 0.623 0.748
Te3 0.377 0.125 0.752
Te4 0.875 0.627 0.252

10.
This entry pairs a crystal structure of Pm4HgTe with its simulated PXRD pattern. Radiation: Cu Kα (λ = 1.5418 Å). Structure: the GGA-PBE geometry in Alexandria.
No peak broadening, texture or thermal motion is included.

Top 6 peaks for 10° ≤ 2θ ≤ 90°, in order of falling intensity:
| 2theta | intensity |
| --- | --- |
| 30.99 | 100 |
| 29.91 | 99 |
| 32.93 | 88 |
| 45.04 | 41 |
| 35.39 | 36 |
| 37.33 | 30 |

Atomic structure:
Unit cell a=8.725 b=4.026 c=20.742 alpha=90.00 beta=90.00 gamma=90.00
Atoms (fractional coordinates):
Pm1 0.011 0.250 0.222
Pm2 0.018 0.250 0.925
Pm3 0.130 0.250 0.433
Pm4 0.160 0.250 0.658
Pm5 0.340 0.750 0.158
Pm6 0.370 0.750 0.933
Pm7 0.482 0.750 0.425
Pm8 0.489 0.750 0.722
Pm9 0.511 0.250 0.278
Pm10 0.518 0.250 0.575
Pm11 0.630 0.250 0.067
Pm12 0.660 0.250 0.842
Pm13 0.840 0.750 0.342
Pm14 0.870 0.750 0.567
Pm15 0.982 0.750 0.075
Pm16 0.989 0.750 0.778
Hg1 0.239 0.750 0.544
Hg2 0.261 0.250 0.044
Hg3 0.739 0.750 0.956
Hg4 0.761 0.250 0.456
Te1 0.219 0.750 0.312
Te2 0.281 0.250 0.812
Te3 0.719 0.750 0.188
Te4 0.781 0.250 0.688

11.
This entry pairs a crystal structure of PmYHgTe with its simulated PXRD pattern. Radiation: Cu Kα (λ = 1.5418 Å). Structure: the GGA-PBE geometry in Alexandria.
No peak broadening, texture or thermal motion is included.

Top 6 peaks for 10° ≤ 2θ ≤ 90°, in order of falling intensity:
| 2theta | intensity |
| --- | --- |
| 28.79 | 100 |
| 39.48 | 43 |
| 42.80 | 34 |
| 65.16 | 19 |
| 52.40 | 19 |
| 69.89 | 16 |

Atomic structure:
Unit cell a=8.160 b=8.160 c=8.160 alpha=30.01 beta=30.01 gamma=30.01
Atoms (fractional coordinates):
Pm1 0.000 0.000 0.000
Y1 0.501 0.501 0.501
Hg1 0.752 0.752 0.752
Te1 0.248 0.248 0.248

12.
This entry pairs a crystal structure of PmTh3Hg6 with its simulated PXRD pattern. Radiation: Cu Kα (λ = 1.5418 Å). Structure: the GGA-PBE geometry in Alexandria.
No peak broadening, texture or thermal motion is included.

Top 6 peaks for 10° ≤ 2θ ≤ 90°, in order of falling intensity:
| 2theta | intensity |
| --- | --- |
| 32.63 | 100 |
| 33.14 | 95 |
| 35.89 | 40 |
| 35.11 | 40 |
| 51.08 | 28 |
| 43.05 | 22 |

Atomic structure:
Unit cell a=9.934 b=5.004 c=10.972 alpha=90.00 beta=99.70 gamma=90.00
Atoms (fractional coordinates):
Pm1 0.056 0.250 0.382
Pm2 0.944 0.750 0.618
Th1 0.237 0.250 0.994
Th2 0.353 0.750 0.788
Th3 0.469 0.250 0.604
Th4 0.531 0.750 0.396
Th5 0.647 0.250 0.212
Th6 0.763 0.750 0.006
Hg1 0.051 0.750 0.902
Hg2 0.148 0.750 0.198
Hg3 0.149 0.250 0.682
Hg4 0.237 0.750 0.499
Hg5 0.340 0.250 0.291
Hg6 0.448 0.750 0.089
Hg7 0.552 0.250 0.911
Hg8 0.660 0.750 0.709
Hg9 0.763 0.250 0.501
Hg10 0.851 0.750 0.318
Hg11 0.852 0.250 0.802
Hg12 0.949 0.250 0.098